This entry pairs a crystal structure of Rb2YVF6 with its computed powder diffraction line list. Radiation: a wavelength of 1.5418 Å. Structure: a cell relaxed with PBE+U.

Structure:
Unit cell a=6.1050 b=6.1050 c=10.8547 alpha=90.00 beta=90.00 gamma=90.00
Space group I4/mmm (No. 139)
Inequivalent atoms, fractional coordinates:
Rb (0.0000, 0.5000, 0.2500) (multiplicity 4)
Y (0.0000, 0.0000, 0.0000) (multiplicity 2)
V (0.0000, 0.0000, 0.5000) (multiplicity 2)
F (0.0000, 0.0000, 0.2009) (multiplicity 4)
F (0.2466, 0.2466, 0.5000) (multiplicity 8)

Top 10 peaks for 2θ = 10–90°, in order of rising 2θ:
d 3.378, 26.38 deg, rel. 1000, hkl 1 1 2; d 3.052, 29.26 deg, rel. 362, hkl 2 0 0; d 2.714, 33.01 deg, rel. 290, hkl 0 0 4; d 2.661, 33.69 deg, rel. 138, hkl 2 0 2; d 2.158, 41.85 deg, rel. 326, hkl 2 2 0; d 2.028, 44.68 deg, rel. 184, hkl 2 0 4; d 1.819, 50.15 deg, rel. 332, hkl 3 1 2; d 1.689, 54.31 deg, rel. 252, hkl 2 2 4; d 1.669, 55.04 deg, rel. 162, hkl 1 1 6; d 1.320, 71.46 deg, rel. 144, hkl 3 1 6


This entry pairs a crystal structure of Li5VCr3O8 with its computed powder diffraction line list. Radiation: a wavelength of 1.5418 Å. Structure: a cell relaxed with PBE+U.

Structure:
Unit cell a=5.9960 b=5.9960 c=9.9320 alpha=90.00 beta=90.00 gamma=120.00
Space group P6_3mc (No. 186)
Inequivalent atoms, fractional coordinates:
Li (0.0000, 0.0000, 0.0000) (multiplicity 2)
Li (0.1962, 0.3924, 0.0744) (multiplicity 6)
Li (0.3333, 0.6667, 0.2892) (multiplicity 2)
V (0.3333, 0.6667, 0.5396) (multiplicity 2)
Cr (0.1679, 0.3358, 0.8009) (multiplicity 6)
O (0.0000, 0.0000, 0.1896) (multiplicity 2)
O (0.0155, 0.5077, 0.6838) (multiplicity 6)
O (0.1596, 0.3191, 0.4163) (multiplicity 6)
O (0.3333, 0.6667, 0.9156) (multiplicity 2)

Top 10 peaks for 2θ = 10–90°, in order of rising 2θ:
d 4.966, 17.86 deg, rel. 659, hkl 0 0 2; d 4.602, 19.29 deg, rel. 821, hkl 1 0 1; d 3.589, 24.81 deg, rel. 284, hkl 1 0 2; d 2.567, 34.96 deg, rel. 512, hkl 1 1 2; d 2.512, 35.75 deg, rel. 539, hkl 2 0 1; d 2.301, 39.15 deg, rel. 441, hkl 2 0 2; d 2.043, 44.34 deg, rel. 1000, hkl 2 0 3; d 1.794, 50.89 deg, rel. 334, hkl 2 0 4; d 1.578, 58.51 deg, rel. 463, hkl 2 0 5; d 1.499, 61.90 deg, rel. 502, hkl 2 2 0